Record 1
Diffraction record for Cs2K2Na15. The powder diffractogram is simulated, not measured: it uses a structure optimized by DFT (GGA-PBE) and a wavelength of 1.5418 Å.
Peak positions follow from Bragg's law for the DFT cell and can differ from measured ones.

Peak list (10 most intense, 10° ≤ 2θ ≤ 90°, low angle first)
2θ = 13.74°, rel. 57, hkl 1 1 0; 2θ = 19.79°, rel. 62, hkl 1 1 3; 2θ = 20.55°, rel. 35, hkl 1 0 4; 2θ = 23.92°, rel. 66, hkl 3 0 0; 2θ = 24.81°, rel. 42, hkl 0 2 4; 2θ = 27.69°, rel. 70, hkl 2 2 0; 2θ = 27.91°, rel. 100, hkl 0 3 3; 2θ = 28.47°, rel. 40, hkl 2 1 4; 2θ = 39.72°, rel. 24, hkl 4 1 3; 2θ = 40.17°, rel. 36, hkl 2 2 6

Structural model:
```
data_Cs2K2Na15
_cell_length_a 12.8869
_cell_length_b 12.8869
_cell_length_c 18.7468
_cell_angle_alpha 90.00
_cell_angle_beta 90.00
_cell_angle_gamma 120.00
_symmetry_space_group_name_H-M 'R -3 m'
_symmetry_Int_Tables_number 166
_symmetry_space_group_name_Hall '-R 3 2"'
loop_
_atom_site_label
_atom_site_type_symbol
_atom_site_fract_x
_atom_site_fract_y
_atom_site_fract_z
Cs1 Cs 0.0000 0.0000 0.1520
K1 K 0.0000 0.0000 0.3967
Na1 Na 0.0000 0.3039 0.5000
Na2 Na 0.0000 0.5000 0.0000
Na3 Na 0.0047 0.5024 0.6543
```

Record 2
Diffraction record for CsKNa3. The powder diffractogram is simulated, not measured: it uses a structure optimized by DFT (GGA-PBE) and a wavelength of 1.5418 Å.
Peak positions follow from Bragg's law for the DFT cell and can differ from measured ones.

Peak list (10 most intense, 10° ≤ 2θ ≤ 90°, low angle first)
2θ = 17.52°, rel. 35, hkl 2 1 0; 2θ = 18.18°, rel. 35, hkl 1 0 2; 2θ = 18.87°, rel. 28, hkl 2 1 -1; 2θ = 20.55°, rel. 35, hkl 1 1 -2; 2θ = 24.02°, rel. 57, hkl 0 2 1; 2θ = 24.80°, rel. 72, hkl 1 2 -1; 2θ = 24.95°, rel. 48, hkl 3 0 -2; 2θ = 25.15°, rel. 100, hkl 1 2 1; 2θ = 27.13°, rel. 69, hkl 0 1 3; 2θ = 27.29°, rel. 31, hkl 2 2 -1

Structural model:
```
data_CsKNa3
_cell_length_a 13.2710
_cell_length_b 7.8705
_cell_length_c 10.8878
_cell_angle_alpha 90.00
_cell_angle_beta 94.72
_cell_angle_gamma 90.00
_symmetry_space_group_name_H-M 'P 1 21/c 1'
_symmetry_Int_Tables_number 14
loop_
_symmetry_equiv_pos_as_xyz
'x,y,z'
'-x,-y,-z'
'-x,y+1/2,-z+1/2'
'x,-y+1/2,z+1/2'
loop_
_atom_site_label
_atom_site_type_symbol
_atom_site_fract_x
_atom_site_fract_y
_atom_site_fract_z
Cs1 Cs 0.1091 0.1191 0.1916
K1 K 0.4339 0.6139 0.6703
Na1 Na 0.1336 0.6228 0.0391
Na2 Na 0.2632 0.5572 0.3475
Na3 Na 0.3660 0.1030 0.5156
```

Record 3
Diffraction record for Cs8K3Na. The powder diffractogram is simulated, not measured: it uses a structure optimized by DFT (GGA-PBE) and a wavelength of 1.5418 Å.
Peak positions follow from Bragg's law for the DFT cell and can differ from measured ones.

Peak list (10 most intense, 10° ≤ 2θ ≤ 90°, low angle first)
2θ = 20.57°, rel. 94, hkl 1 1 1; 2θ = 21.41°, rel. 42, hkl 0 0 4; 2θ = 22.59°, rel. 100, hkl 2 -1 2; 2θ = 25.62°, rel. 53, hkl 2 -1 3; 2θ = 33.63°, rel. 27, hkl 1 1 5; 2θ = 34.75°, rel. 37, hkl 3 0 0; 2θ = 38.26°, rel. 25, hkl 2 -1 6; 2θ = 41.18°, rel. 44, hkl 3 0 4; 2θ = 41.85°, rel. 19, hkl 2 2 2; 2θ = 56.96°, rel. 27, hkl 3 0 8

Structural model:
```
data_Cs8K3Na
_cell_length_a 8.9420
_cell_length_b 8.9420
_cell_length_c 16.5979
_cell_angle_alpha 90.00
_cell_angle_beta 90.00
_cell_angle_gamma 120.00
_symmetry_space_group_name_H-M 'P -3 1 m'
_symmetry_Int_Tables_number 162
_symmetry_space_group_name_Hall '-P 3 2'
loop_
_atom_site_label
_atom_site_type_symbol
_atom_site_fract_x
_atom_site_fract_y
_atom_site_fract_z
Cs1 Cs 0.0000 0.3223 0.2454
Cs2 Cs 0.3333 0.6667 0.5000
K1 K 0.0000 0.0000 0.0000
K2 K 0.3333 0.6667 0.0000
Na1 Na 0.0000 0.0000 0.5000
```

Record 4
Diffraction record for CsK3Na2. The powder diffractogram is simulated, not measured: it uses a structure optimized by DFT (GGA-PBE) and a wavelength of 1.5418 Å.
Peak positions follow from Bragg's law for the DFT cell and can differ from measured ones.

Peak list (10 most intense, 10° ≤ 2θ ≤ 90°, low angle first)
2θ = 16.95°, rel. 19, hkl 0 2 1; 2θ = 21.02°, rel. 22, hkl 2 2 1; 2θ = 22.69°, rel. 100, hkl 0 0 2; 2θ = 22.97°, rel. 95, hkl 1 3 1; 2θ = 25.92°, rel. 27, hkl 2 0 2; 2θ = 28.28°, rel. 29, hkl 2 4 0; 2θ = 28.94°, rel. 36, hkl 2 2 2; 2θ = 38.54°, rel. 21, hkl 5 3 1; 2θ = 40.02°, rel. 26, hkl 1 3 3; 2θ = 42.79°, rel. 19, hkl 4 4 2

Structural model:
```
data_CsK3Na2
_cell_length_a 14.3512
_cell_length_b 14.0544
_cell_length_c 7.8316
_cell_angle_alpha 90.00
_cell_angle_beta 90.00
_cell_angle_gamma 90.00
_symmetry_space_group_name_H-M 'C m c m'
_symmetry_Int_Tables_number 63
_symmetry_space_group_name_Hall '-C 2c 2'
loop_
_atom_site_label
_atom_site_type_symbol
_atom_site_fract_x
_atom_site_fract_y
_atom_site_fract_z
Cs1 Cs 0.0000 0.1026 0.2500
K1 K 0.0000 0.4272 0.2500
K2 K 0.1635 0.2516 0.7500
Na1 Na 0.2413 0.5000 0.0000
```

Record 5
Diffraction record for Cs4K2Na5. The powder diffractogram is simulated, not measured: it uses a structure optimized by DFT (GGA-PBE) and a wavelength of 1.5418 Å.
Peak positions follow from Bragg's law for the DFT cell and can differ from measured ones.

Peak list (10 most intense, 10° ≤ 2θ ≤ 90°, low angle first)
2θ = 15.66°, rel. 58, hkl 1 4 0; 2θ = 18.41°, rel. 74, hkl 0 0 1; 2θ = 21.99°, rel. 54, hkl 1 6 0; 2θ = 23.71°, rel. 76, hkl 3 2 0; 2θ = 24.12°, rel. 37, hkl 2 1 1; 2θ = 24.26°, rel. 100, hkl 1 4 1; 2θ = 24.88°, rel. 87, hkl 2 2 1; 2θ = 25.31°, rel. 39, hkl 1 7 0; 2θ = 26.05°, rel. 38, hkl 2 3 1; 2θ = 30.18°, rel. 46, hkl 3 2 1

Structural model:
```
data_Cs4K2Na5
_cell_length_a 11.7659
_cell_length_b 25.8193
_cell_length_c 4.8196
_cell_angle_alpha 90.00
_cell_angle_beta 90.00
_cell_angle_gamma 90.00
_symmetry_space_group_name_H-M 'P b a m'
_symmetry_Int_Tables_number 55
loop_
_symmetry_equiv_pos_as_xyz
'x,y,z'
'-x,-y,-z'
'-x,-y,z'
'x,y,-z'
'x+1/2,-y+1/2,-z'
'-x+1/2,y+1/2,z'
'-x+1/2,y+1/2,-z'
'x+1/2,-y+1/2,z'
loop_
_atom_site_label
_atom_site_type_symbol
_atom_site_fract_x
_atom_site_fract_y
_atom_site_fract_z
Cs1 Cs 0.1048 0.1384 0.0000
Cs2 Cs 0.2200 0.4402 0.0000
K1 K 0.0251 0.6965 0.0000
Na1 Na 0.0000 0.0000 0.5000
Na2 Na 0.0979 0.5680 0.5000
Na3 Na 0.2302 0.7887 0.5000
```

Record 6
Diffraction record for Cs3K4Na3. The powder diffractogram is simulated, not measured: it uses a structure optimized by DFT (GGA-PBE) and a wavelength of 1.5418 Å.
Peak positions follow from Bragg's law for the DFT cell and can differ from measured ones.

Peak list (10 most intense, 10° ≤ 2θ ≤ 90°, low angle first)
2θ = 19.96°, rel. 45, hkl 0 0 4; 2θ = 21.02°, rel. 40, hkl 0 4 0; 2θ = 21.37°, rel. 53, hkl 1 2 0; 2θ = 22.59°, rel. 94, hkl 0 2 4; 2θ = 23.30°, rel. 79, hkl 0 4 2; 2θ = 23.62°, rel. 100, hkl 1 2 2; 2θ = 24.51°, rel. 55, hkl 1 1 3; 2θ = 24.95°, rel. 50, hkl 1 3 1; 2θ = 44.37°, rel. 45, hkl 0 6 6; 2θ = 44.76°, rel. 39, hkl 2 4 2

Structural model:
```
data_Cs3K4Na3
_cell_length_a 4.7743
_cell_length_b 16.9087
_cell_length_c 17.7937
_cell_angle_alpha 90.00
_cell_angle_beta 90.00
_cell_angle_gamma 90.00
_symmetry_space_group_name_H-M 'A m m 2'
_symmetry_Int_Tables_number 38
loop_
_symmetry_equiv_pos_as_xyz
'x,y,z'
'-x,-y,z'
'-x,y,z'
'x,-y,z'
'x,y+1/2,z+1/2'
'-x,-y+1/2,z+1/2'
'-x,y+1/2,z+1/2'
'x,-y+1/2,z+1/2'
loop_
_atom_site_label
_atom_site_type_symbol
_atom_site_fract_x
_atom_site_fract_y
_atom_site_fract_z
Cs1 Cs 0.0000 0.0000 0.0000
Cs2 Cs 0.5000 0.2417 0.4185
K1 K 0.5000 0.0000 0.5225
K2 K 0.5000 0.0000 0.7619
K3 K 0.5000 0.1428 0.1886
Na1 Na 0.0000 0.0000 0.3303
Na2 Na 0.0000 0.1653 0.6467
```

Record 7
Diffraction record for CsK4Na2. The powder diffractogram is simulated, not measured: it uses a structure optimized by DFT (GGA-PBE) and a wavelength of 1.5418 Å.
Peak positions follow from Bragg's law for the DFT cell and can differ from measured ones.

Peak list (10 most intense, 10° ≤ 2θ ≤ 90°, low angle first)
2θ = 11.76°, rel. 24, hkl 1 1 0; 2θ = 13.63°, rel. 23, hkl 1 0 1; 2θ = 21.61°, rel. 100, hkl 0 0 2; 2θ = 23.64°, rel. 46, hkl 2 2 0; 2θ = 24.73°, rel. 37, hkl 1 1 2; 2θ = 27.39°, rel. 54, hkl 3 0 1; 2θ = 32.29°, rel. 18, hkl 2 2 2; 2θ = 37.96°, rel. 18, hkl 2 1 3; 2θ = 42.23°, rel. 17, hkl 3 3 2; 2θ = 47.30°, rel. 22, hkl 2 5 1

Structural model:
```
data_CsK4Na2
_cell_length_a 10.6449
_cell_length_b 10.6449
_cell_length_c 8.1985
_cell_angle_alpha 90.00
_cell_angle_beta 90.00
_cell_angle_gamma 90.00
_symmetry_space_group_name_H-M 'I 4/m'
_symmetry_Int_Tables_number 87
_symmetry_space_group_name_Hall '-I 4'
loop_
_atom_site_label
_atom_site_type_symbol
_atom_site_fract_x
_atom_site_fract_y
_atom_site_fract_z
Cs1 Cs 0.0000 0.0000 0.0000
K1 K 0.2005 0.2028 0.5000
Na1 Na 0.0000 0.5000 0.2500
```

Record 8
Diffraction record for Cs2K2Na5. The powder diffractogram is simulated, not measured: it uses a structure optimized by DFT (GGA-PBE) and a wavelength of 1.5418 Å.
Peak positions follow from Bragg's law for the DFT cell and can differ from measured ones.

Peak list (10 most intense, 10° ≤ 2θ ≤ 90°, low angle first)
2θ = 11.71°, rel. 56, hkl 0 1 1; 2θ = 18.55°, rel. 28, hkl 0 2 0; 2θ = 22.62°, rel. 95, hkl 4 1 1; 2θ = 23.54°, rel. 100, hkl 0 1 3; 2θ = 24.12°, rel. 25, hkl 4 0 2; 2θ = 28.93°, rel. 28, hkl 0 3 1; 2θ = 30.61°, rel. 48, hkl 4 2 2; 2θ = 35.01°, rel. 44, hkl 4 3 1; 2θ = 39.92°, rel. 22, hkl 4 2 4; 2θ = 46.18°, rel. 22, hkl 8 1 3

Structural model:
```
data_Cs2K2Na5
_cell_length_a 18.4120
_cell_length_b 9.5639
_cell_length_c 12.3386
_cell_angle_alpha 90.00
_cell_angle_beta 90.00
_cell_angle_gamma 90.00
_symmetry_space_group_name_H-M 'I m a 2'
_symmetry_Int_Tables_number 46
loop_
_symmetry_equiv_pos_as_xyz
'x,y,z'
'-x,-y,z'
'-x+1/2,y,z'
'x+1/2,-y,z'
'x+1/2,y+1/2,z+1/2'
'-x+1/2,-y+1/2,z+1/2'
'-x,y+1/2,z+1/2'
'x,-y+1/2,z+1/2'
loop_
_atom_site_label
_atom_site_type_symbol
_atom_site_fract_x
_atom_site_fract_y
_atom_site_fract_z
Cs1 Cs 0.1252 0.0091 0.0000
K1 K 0.0000 0.0000 0.6013
K2 K 0.2500 0.5172 0.1081
Na1 Na 0.0456 0.1692 0.2989
Na2 Na 0.1512 0.6611 0.8109
Na3 Na 0.2500 0.1708 0.2987
```

Record 9
Diffraction record for Cs4K8Na. The powder diffractogram is simulated, not measured: it uses a structure optimized by DFT (GGA-PBE) and a wavelength of 1.5418 Å.
Peak positions follow from Bragg's law for the DFT cell and can differ from measured ones.

Peak list (10 most intense, 10° ≤ 2θ ≤ 90°, low angle first)
2θ = 12.57°, rel. 21, hkl 0 1 1; 2θ = 16.72°, rel. 18, hkl 1 0 2; 2θ = 21.27°, rel. 15, hkl 0 0 6; 2θ = 21.47°, rel. 17, hkl 0 1 5; 2θ = 22.15°, rel. 100, hkl 1 1 3; 2θ = 24.27°, rel. 26, hkl 0 2 0; 2θ = 30.55°, rel. 14, hkl 2 0 0; 2θ = 32.46°, rel. 16, hkl 0 2 6; 2θ = 41.07°, rel. 14, hkl 1 1 10; 2θ = 41.46°, rel. 20, hkl 1 3 3

Structural model:
```
data_Cs4K8Na
_cell_length_a 5.8526
_cell_length_b 7.3348
_cell_length_c 25.0610
_cell_angle_alpha 90.00
_cell_angle_beta 90.00
_cell_angle_gamma 90.00
_symmetry_space_group_name_H-M 'P m m 2'
_symmetry_Int_Tables_number 25
loop_
_symmetry_equiv_pos_as_xyz
'x,y,z'
'-x,-y,z'
'-x,y,z'
'x,-y,z'
loop_
_atom_site_label
_atom_site_type_symbol
_atom_site_fract_x
_atom_site_fract_y
_atom_site_fract_z
Cs1 Cs 0.0000 0.0000 0.0000
Cs2 Cs 0.0000 0.5000 0.4746
Cs3 Cs 0.5000 0.0000 0.7890
Cs4 Cs 0.5000 0.5000 0.3096
K1 K 0.0000 0.0000 0.3153
K2 K 0.0000 0.0000 0.6242
K3 K 0.0000 0.5000 0.1584
K4 K 0.0000 0.5000 0.8780
K5 K 0.5000 0.0000 0.1644
K6 K 0.5000 0.0000 0.4702
K7 K 0.5000 0.5000 0.0233
K8 K 0.5000 0.5000 0.6214
Na1 Na 0.0000 0.5000 0.7250
```

Record 10
Diffraction record for Cs12K2Na5. The powder diffractogram is simulated, not measured: it uses a structure optimized by DFT (GGA-PBE) and a wavelength of 1.5418 Å.
Peak positions follow from Bragg's law for the DFT cell and can differ from measured ones.

Peak list (10 most intense, 10° ≤ 2θ ≤ 90°, low angle first)
2θ = 18.92°, rel. 49, hkl 1 3 -1; 2θ = 19.65°, rel. 96, hkl 4 0 -1; 2θ = 20.00°, rel. 100, hkl 1 3 1; 2θ = 21.86°, rel. 55, hkl 2 0 -3; 2θ = 22.31°, rel. 52, hkl 0 0 3; 2θ = 22.47°, rel. 50, hkl 1 3 -2; 2θ = 22.83°, rel. 57, hkl 4 2 -1; 2θ = 22.93°, rel. 52, hkl 3 3 -1; 2θ = 23.07°, rel. 50, hkl 0 4 0; 2θ = 23.30°, rel. 89, hkl 2 2 2

Structural model:
```
data_Cs12K2Na5
_cell_length_a 18.1246
_cell_length_b 15.4379
_cell_length_c 12.4130
_cell_angle_alpha 90.00
_cell_angle_beta 105.97
_cell_angle_gamma 90.00
_symmetry_space_group_name_H-M 'C 1 2/m 1'
_symmetry_Int_Tables_number 12
loop_
_symmetry_equiv_pos_as_xyz
'x,y,z'
'-x,-y,-z'
'-x,y,-z'
'x,-y,z'
'x+1/2,y+1/2,z'
'-x+1/2,-y+1/2,-z'
'-x+1/2,y+1/2,-z'
'x+1/2,-y+1/2,z'
loop_
_atom_site_label
_atom_site_type_symbol
_atom_site_fract_x
_atom_site_fract_y
_atom_site_fract_z
Cs1 Cs 0.0986 0.0000 0.1829
Cs2 Cs 0.1111 0.2760 0.4105
Cs3 Cs 0.1169 0.5000 0.7651
Cs4 Cs 0.1806 0.1632 0.8210
K1 K 0.0000 0.3028 0.0000
Na1 Na 0.0000 0.0000 0.5000
Na2 Na 0.1231 0.5000 0.1821
Na3 Na 0.2234 0.0000 0.5396
```

Record 11
Diffraction record for Cs3K3Na2. The powder diffractogram is simulated, not measured: it uses a structure optimized by DFT (GGA-PBE) and a wavelength of 1.5418 Å.
Peak positions follow from Bragg's law for the DFT cell and can differ from measured ones.

Peak list (10 most intense, 10° ≤ 2θ ≤ 90°, low angle first)
2θ = 13.32°, rel. 32, hkl 1 1 0; 2θ = 16.96°, rel. 22, hkl 0 0 4; 2θ = 21.62°, rel. 70, hkl 1 1 4; 2θ = 22.23°, rel. 100, hkl 1 3 2; 2θ = 23.65°, rel. 28, hkl 0 4 2; 2θ = 24.40°, rel. 42, hkl 2 0 0; 2θ = 25.15°, rel. 26, hkl 1 1 5; 2θ = 34.24°, rel. 24, hkl 2 4 2; 2θ = 37.34°, rel. 23, hkl 1 5 5; 2θ = 41.67°, rel. 23, hkl 3 3 2

Structural model:
```
data_Cs3K3Na2
_cell_length_a 7.2969
_cell_length_b 16.1312
_cell_length_c 20.9129
_cell_angle_alpha 90.00
_cell_angle_beta 90.00
_cell_angle_gamma 90.00
_symmetry_space_group_name_H-M 'C m c m'
_symmetry_Int_Tables_number 63
_symmetry_space_group_name_Hall '-C 2c 2'
loop_
_atom_site_label
_atom_site_type_symbol
_atom_site_fract_x
_atom_site_fract_y
_atom_site_fract_z
Cs1 Cs 0.0000 0.0296 0.2500
Cs2 Cs 0.0000 0.1552 0.5288
K1 K 0.0000 0.2578 0.7500
K2 K 0.0000 0.4576 0.6030
Na1 Na 0.0000 0.2985 0.1621
```

Record 12
Diffraction record for CsKNa6. The powder diffractogram is simulated, not measured: it uses a structure optimized by DFT (GGA-PBE) and a wavelength of 1.5418 Å.
Peak positions follow from Bragg's law for the DFT cell and can differ from measured ones.

Peak list (10 most intense, 10° ≤ 2θ ≤ 90°, low angle first)
2θ = 11.56°, rel. 31, hkl 0 1 1; 2θ = 18.48°, rel. 55, hkl 1 1 1; 2θ = 18.82°, rel. 28, hkl 1 0 2; 2θ = 20.72°, rel. 20, hkl 0 1 3; 2θ = 23.24°, rel. 22, hkl 0 2 2; 2θ = 24.33°, rel. 20, hkl 0 0 4; 2θ = 27.43°, rel. 100, hkl 1 2 2; 2θ = 28.36°, rel. 35, hkl 1 0 4; 2θ = 28.96°, rel. 29, hkl 2 0 0; 2θ = 38.17°, rel. 17, hkl 2 0 4

Structural model:
```
data_CsKNa6
_cell_length_a 6.1665
_cell_length_b 8.9790
_cell_length_c 14.6363
_cell_angle_alpha 90.00
_cell_angle_beta 90.00
_cell_angle_gamma 90.00
_symmetry_space_group_name_H-M 'A m m 2'
_symmetry_Int_Tables_number 38
loop_
_symmetry_equiv_pos_as_xyz
'x,y,z'
'-x,-y,z'
'-x,y,z'
'x,-y,z'
'x,y+1/2,z+1/2'
'-x,-y+1/2,z+1/2'
'-x,y+1/2,z+1/2'
'x,-y+1/2,z+1/2'
loop_
_atom_site_label
_atom_site_type_symbol
_atom_site_fract_x
_atom_site_fract_y
_atom_site_fract_z
Cs1 Cs 0.0000 0.0000 0.0000
K1 K 0.5000 0.0000 0.3063
Na1 Na 0.0000 0.0000 0.4949
Na2 Na 0.0000 0.2089 0.7324
Na3 Na 0.5000 0.0000 0.7965
Na4 Na 0.5000 0.1961 0.5769
```